# BaNi2P4
Computed powder XRD pattern, λ = 1.5418 Å (Cu Kα). Input: a cell relaxed with GGA-PBE.
Kinematic intensities with the Lorentz-polarization factor, no thermal factor.

Cell and atoms:
abc: 5.4886 5.4886 5.4886
angles: 116.06 107.22 105.35
Positions (direct):
Ba 0.0000 0.0000 0.0000
Ni 0.5000 0.2383 0.7383
Ni 0.5000 0.7617 0.2617
P 0.2393 0.7393 0.5000
P 0.2455 0.5000 0.7455
P 0.7545 0.5000 0.2545
P 0.7607 0.2607 0.5000

Largest 10 diffraction maxima, by angle, 2θ = 10–90°:
- 2θ 26.8, I = 553
- 2θ 27.4, I = 521
- 2θ 34.0, I = 560
- 2θ 34.3, I = 653
- 2θ 36.4, I = 1000
- 2θ 52.3, I = 219
- 2θ 52.7, I = 164
- 2θ 53.9, I = 276
- 2θ 54.5, I = 285
- 2θ 56.8, I = 178

=====

# BaNi9P5
Computed powder XRD pattern, λ = 1.5418 Å (Cu Kα). Input: a cell relaxed with GGA-PBE.
Kinematic intensities with the Lorentz-polarization factor, no thermal factor.

Cell and atoms:
abc: 6.5219 6.5219 10.8754
angles: 90.00 90.00 120.00
Positions (direct):
Ba 0.0000 0.0000 0.0000
Ba 0.0000 0.0000 0.5000
Ni 0.0715 0.5357 0.1074
Ni 0.0715 0.5357 0.3926
Ni 0.2029 0.4057 0.7500
Ni 0.2029 0.7971 0.7500
Ni 0.4057 0.2029 0.2500
Ni 0.4643 0.5357 0.1074
Ni 0.4643 0.5357 0.3926
Ni 0.4643 0.9285 0.1074
Ni 0.4643 0.9285 0.3926
Ni 0.5357 0.0715 0.6074
Ni 0.5357 0.0715 0.8926
Ni 0.5357 0.4643 0.6074
Ni 0.5357 0.4643 0.8926
Ni 0.5943 0.7971 0.7500
Ni 0.7971 0.2029 0.2500
Ni 0.7971 0.5943 0.2500
Ni 0.9285 0.4643 0.6074
Ni 0.9285 0.4643 0.8926
P 0.1759 0.3517 0.2500
P 0.1759 0.8241 0.2500
P 0.3333 0.6667 0.5616
P 0.3333 0.6667 0.9384
P 0.3517 0.1759 0.7500
P 0.6483 0.8241 0.2500
P 0.6667 0.3333 0.0616
P 0.6667 0.3333 0.4384
P 0.8241 0.1759 0.7500
P 0.8241 0.6483 0.7500

Largest 10 diffraction maxima, by angle, 2θ = 10–90°:
- 2θ 22.7, I = 241
- 2θ 31.7, I = 611
- 2θ 32.0, I = 730
- 2θ 35.8, I = 1000
- 2θ 36.7, I = 605
- 2θ 46.4, I = 392
- 2θ 49.1, I = 388
- 2θ 49.6, I = 466
- 2θ 54.7, I = 766
- 2θ 56.4, I = 416

=====

# Ba6Ni25S27
Computed powder XRD pattern, λ = 1.5418 Å (Cu Kα). Input: a cell relaxed with GGA-PBE.
Kinematic intensities with the Lorentz-polarization factor, no thermal factor.

Cell and atoms:
abc: 10.0617 10.0617 10.0617
angles: 90.00 90.00 90.00
Positions (direct):
Ba 0.0000 0.0000 0.3049
Ba 0.0000 0.0000 0.6951
Ba 0.0000 0.3049 0.0000
Ba 0.0000 0.6951 0.0000
Ba 0.3049 0.0000 0.0000
Ba 0.6951 0.0000 0.0000
Ni 0.1407 0.3670 0.3670
Ni 0.1407 0.3670 0.6330
Ni 0.1407 0.6330 0.3670
Ni 0.1407 0.6330 0.6330
Ni 0.3670 0.1407 0.3670
Ni 0.3670 0.1407 0.6330
Ni 0.3670 0.3670 0.1407
Ni 0.3670 0.3670 0.8593
Ni 0.3670 0.6330 0.1407
Ni 0.3670 0.6330 0.8593
Ni 0.3670 0.8593 0.3670
Ni 0.3670 0.8593 0.6330
Ni 0.5000 0.5000 0.5000
Ni 0.6330 0.1407 0.3670
Ni 0.6330 0.1407 0.6330
Ni 0.6330 0.3670 0.1407
Ni 0.6330 0.3670 0.8593
Ni 0.6330 0.6330 0.1407
Ni 0.6330 0.6330 0.8593
Ni 0.6330 0.8593 0.3670
Ni 0.6330 0.8593 0.6330
Ni 0.8593 0.3670 0.3670
Ni 0.8593 0.3670 0.6330
Ni 0.8593 0.6330 0.3670
Ni 0.8593 0.6330 0.6330
S 0.0000 0.0000 0.0000
S 0.0000 0.2625 0.5000
S 0.0000 0.5000 0.2625
S 0.0000 0.5000 0.7375
S 0.0000 0.7375 0.5000
S 0.2235 0.2235 0.2235
S 0.2235 0.2235 0.7765
S 0.2235 0.7765 0.2235
S 0.2235 0.7765 0.7765
S 0.2615 0.5000 0.5000
S 0.2625 0.0000 0.5000
S 0.2625 0.5000 0.0000
S 0.5000 0.0000 0.2625
S 0.5000 0.0000 0.7375
S 0.5000 0.2615 0.5000
S 0.5000 0.2625 0.0000
S 0.5000 0.5000 0.2615
S 0.5000 0.5000 0.7385
S 0.5000 0.7375 0.0000
S 0.5000 0.7385 0.5000
S 0.7375 0.0000 0.5000
S 0.7375 0.5000 0.0000
S 0.7385 0.5000 0.5000
S 0.7765 0.2235 0.2235
S 0.7765 0.2235 0.7765
S 0.7765 0.7765 0.2235
S 0.7765 0.7765 0.7765

Largest 10 diffraction maxima, by angle, 2θ = 10–90°:
- 2θ 26.6, I = 631
- 2θ 28.0, I = 799
- 2θ 29.4, I = 458
- 2θ 30.8, I = 775
- 2θ 39.0, I = 711
- 2θ 46.9, I = 219
- 2θ 51.4, I = 1000
- 2θ 53.1, I = 254
- 2θ 61.9, I = 258
- 2θ 77.7, I = 182

=====

# BaZrNi
Computed powder XRD pattern, λ = 1.5418 Å (Cu Kα). Input: a cell relaxed with GGA-PBE.
Kinematic intensities with the Lorentz-polarization factor, no thermal factor.

Cell and atoms:
abc: 4.9028 4.9028 4.9028
angles: 60.00 60.00 60.00
Positions (direct):
Ba 0.0000 0.0000 0.0000
Zr 0.5000 0.5000 0.5000
Ni 0.7500 0.7500 0.7500

Largest 10 diffraction maxima, by angle, 2θ = 10–90°:
- 2θ 22.2, I = 166
- 2θ 25.7, I = 387
- 2θ 36.7, I = 1000
- 2θ 43.3, I = 85
- 2θ 45.3, I = 110
- 2θ 52.8, I = 170
- 2θ 59.6, I = 147
- 2θ 66.0, I = 342
- 2θ 77.9, I = 106
- 2θ 89.4, I = 154

=====

# BaNpO3
Computed powder XRD pattern, λ = 1.5418 Å (Cu Kα). Input: a cell relaxed with GGA-PBE.
Kinematic intensities with the Lorentz-polarization factor, no thermal factor.

Cell and atoms:
abc: 4.4293 4.4293 4.4293
angles: 90.00 90.00 90.00
Positions (direct):
Ba 0.0000 0.0000 0.0000
Np 0.5000 0.5000 0.5000
O 0.0000 0.5000 0.5000
O 0.5000 0.0000 0.5000
O 0.5000 0.5000 0.0000

Largest 10 diffraction maxima, by angle, 2θ = 10–90°:
- 2θ 20.0, I = 130
- 2θ 28.5, I = 1000
- 2θ 40.7, I = 274
- 2θ 45.8, I = 65
- 2θ 50.5, I = 428
- 2θ 59.0, I = 180
- 2θ 63.0, I = 31
- 2θ 66.8, I = 190
- 2θ 74.2, I = 61
- 2θ 81.3, I = 226

=====

# BaSr2Np
Computed powder XRD pattern, λ = 1.5418 Å (Cu Kα). Input: a cell relaxed with GGA-PBE.
Kinematic intensities with the Lorentz-polarization factor, no thermal factor.

Cell and atoms:
abc: 6.5237 6.5237 6.5237
angles: 60.00 60.00 60.00
Positions (direct):
Ba 0.0000 0.0000 0.0000
Sr 0.2500 0.2500 0.2500
Sr 0.5000 0.5000 0.5000
Np 0.7500 0.7500 0.7500

Largest 10 diffraction maxima, by angle, 2θ = 10–90°:
- 2θ 16.6, I = 156
- 2θ 27.3, I = 1000
- 2θ 32.2, I = 99
- 2θ 39.1, I = 195
- 2θ 42.7, I = 47
- 2θ 48.3, I = 423
- 2θ 56.4, I = 134
- 2θ 63.8, I = 186
- 2θ 70.7, I = 46
- 2θ 77.4, I = 216